# 1
AlCu4Si: simulated PXRD pattern (Cu Kα), based on a DFT-relaxed cell (GGA-PBE, Alexandria).
Lines closer than 0.1° are merged.

Largest 8 diffraction maxima, in order of rising 2θ, 2θ from 10° to 90°:
- 22.61 deg, I = 61
- 37.33 deg, I = 8
- 44.09 deg, I = 100
- 46.16 deg, I = 70
- 53.83 deg, I = 21
- 59.11 deg, I = 12
- 72.03 deg, I = 28
- 79.60 deg, I = 27

Cell lengths 4.8172, 4.8172, 4.8172 Å; angles 60.00, 60.00, 60.00 degrees
Sites, in units of the cell vectors:
Al 0.0000 0.0000 0.0000
Cu 0.1247 0.6251 0.6251
Cu 0.6251 0.1247 0.6251
Cu 0.6251 0.6251 0.1247
Cu 0.6251 0.6251 0.6251
Si 0.2500 0.2500 0.2500

---

# 2
Ac2CePb3: simulated PXRD pattern (Cu Kα), based on a DFT-relaxed cell (GGA-PBE, Alexandria).
Lines closer than 0.1° are merged.

Largest 8 diffraction maxima, in order of rising 2θ, 2θ from 10° to 90°:
- 26.32 deg, I = 60
- 27.31 deg, I = 100
- 32.93 deg, I = 34
- 38.29 deg, I = 83
- 42.64 deg, I = 34
- 61.71 deg, I = 21
- 62.39 deg, I = 21
- 63.22 deg, I = 15

Cell lengths 7.5093, 7.5093, 10.8791 Å; angles 111.25, 111.25, 53.62 degrees
Sites, in units of the cell vectors:
Ac 0.1743 0.1745 0.0871
Ac 0.1745 0.1743 0.5871
Ac 0.8255 0.8257 0.4129
Ac 0.8257 0.8255 0.9129
Ce 0.4991 0.5009 0.7500
Ce 0.5009 0.4991 0.2500
Pb 0.0011 0.9989 0.2500
Pb 0.3583 0.3586 0.4292
Pb 0.3586 0.3583 0.9292
Pb 0.6414 0.6417 0.0708
Pb 0.6417 0.6414 0.5708
Pb 0.9989 0.0011 0.7500

---

# 3
Tl3Hg3Cl: simulated PXRD pattern (Cu Kα), based on a DFT-relaxed cell (GGA-PBE, Alexandria).
Lines closer than 0.1° are merged.

Largest 8 diffraction maxima, in order of rising 2θ, 2θ from 10° to 90°:
- 14.55 deg, I = 100
- 20.64 deg, I = 34
- 25.35 deg, I = 83
- 36.15 deg, I = 80
- 39.16 deg, I = 54
- 41.99 deg, I = 45
- 60.89 deg, I = 30
- 72.90 deg, I = 32

Cell lengths 8.6067, 8.6067, 8.6067 Å; angles 90.00, 90.00, 90.00 degrees
Sites, in units of the cell vectors:
Tl 0.0000 0.2500 0.5000
Tl 0.0000 0.7500 0.5000
Tl 0.2500 0.5000 0.0000
Tl 0.5000 0.0000 0.2500
Tl 0.5000 0.0000 0.7500
Tl 0.7500 0.5000 0.0000
Hg 0.0000 0.5000 0.2500
Hg 0.0000 0.5000 0.7500
Hg 0.2500 0.0000 0.5000
Hg 0.5000 0.2500 0.0000
Hg 0.5000 0.7500 0.0000
Hg 0.7500 0.0000 0.5000
Cl 0.0000 0.0000 0.0000
Cl 0.5000 0.5000 0.5000

---

# 4
BaCd4Ag2Pd: simulated PXRD pattern (Cu Kα), based on a DFT-relaxed cell (GGA-PBE, Alexandria).
Lines closer than 0.1° are merged.

Largest 8 diffraction maxima, in order of rising 2θ, 2θ from 10° to 90°:
- 26.24 deg, I = 19
- 32.29 deg, I = 61
- 37.79 deg, I = 100
- 39.66 deg, I = 40
- 50.54 deg, I = 17
- 64.79 deg, I = 16
- 68.23 deg, I = 17
- 69.49 deg, I = 14

Cell lengths 10.3563, 10.3563, 10.3563 Å; angles 26.58, 26.58, 26.58 degrees
Sites, in units of the cell vectors:
Ba 0.0000 0.0000 0.0000
Cd 0.1359 0.1359 0.1359
Cd 0.4078 0.4078 0.4078
Cd 0.5922 0.5922 0.5922
Cd 0.8641 0.8641 0.8641
Ag 0.2350 0.2350 0.2350
Ag 0.7650 0.7650 0.7650
Pd 0.5000 0.5000 0.5000

---

# 5
TbPmNi2: simulated PXRD pattern (Cu Kα), based on a DFT-relaxed cell (GGA-PBE, Alexandria).
Lines closer than 0.1° are merged.

Largest 8 diffraction maxima, in order of rising 2θ, 2θ from 10° to 90°:
- 25.82 deg, I = 20
- 26.35 deg, I = 10
- 36.83 deg, I = 51
- 37.22 deg, I = 100
- 53.07 deg, I = 18
- 66.60 deg, I = 35
- 67.36 deg, I = 17
- 79.32 deg, I = 11

Cell lengths 4.8807, 4.8807, 3.3829 Å; angles 90.00, 90.00, 90.00 degrees
Sites, in units of the cell vectors:
Tb 0.0000 0.0000 0.0000
Pm 0.5000 0.5000 0.0000
Ni 0.0000 0.5000 0.5000
Ni 0.5000 0.0000 0.5000

---

# 6
TiTlH2Cl8: simulated PXRD pattern (Cu Kα), based on a DFT-relaxed cell (GGA-PBE, Alexandria).
Lines closer than 0.1° are merged.

Largest 8 diffraction maxima, in order of rising 2θ, 2θ from 10° to 90°:
- 12.67 deg, I = 100
- 13.21 deg, I = 96
- 17.80 deg, I = 44
- 18.88 deg, I = 42
- 28.08 deg, I = 30
- 30.02 deg, I = 62
- 36.00 deg, I = 19
- 38.18 deg, I = 25

Cell lengths 6.7211, 7.0074, 7.7063 Å; angles 87.53, 87.84, 86.49 degrees
Sites, in units of the cell vectors:
Ti 0.0000 0.0000 0.0000
Tl 0.0000 0.0000 0.5000
H 0.2482 0.3002 0.7060
H 0.7518 0.6998 0.2940
Cl 0.1940 0.8308 0.7846
Cl 0.2067 0.2558 0.9633
Cl 0.2142 0.8565 0.2147
Cl 0.2696 0.3212 0.5324
Cl 0.7304 0.6788 0.4676
Cl 0.7858 0.1435 0.7853
Cl 0.7933 0.7442 0.0367
Cl 0.8060 0.1692 0.2154

---

# 7
CaTaIrO6: simulated PXRD pattern (Cu Kα), based on a DFT-relaxed cell (GGA-PBE, Alexandria).
Lines closer than 0.1° are merged.

Largest 8 diffraction maxima, in order of rising 2θ, 2θ from 10° to 90°:
- 18.58 deg, I = 17
- 20.44 deg, I = 41
- 25.83 deg, I = 100
- 33.61 deg, I = 83
- 36.85 deg, I = 25
- 50.73 deg, I = 66
- 53.10 deg, I = 17
- 64.33 deg, I = 19

Cell lengths 4.8783, 4.8783, 9.5512 Å; angles 90.00, 90.00, 90.00 degrees
Sites, in units of the cell vectors:
Ca 0.0000 0.0000 0.0000
Ca 0.5000 0.5000 0.5000
Ta 0.0000 0.0000 0.6646
Ta 0.5000 0.5000 0.1646
Ir 0.0000 0.0000 0.3256
Ir 0.5000 0.5000 0.8256
O 0.1736 0.1736 0.4922
O 0.2133 0.2133 0.1851
O 0.2158 0.2158 0.8057
O 0.2842 0.7158 0.3057
O 0.2867 0.7133 0.6851
O 0.3264 0.6736 0.9922
O 0.6736 0.3264 0.9922
O 0.7133 0.2867 0.6851
O 0.7158 0.2842 0.3057
O 0.7842 0.7842 0.8057
O 0.7867 0.7867 0.1851
O 0.8264 0.8264 0.4922

---

# 8
Li7Hg2: simulated PXRD pattern (Cu Kα), based on a DFT-relaxed cell (GGA-PBE, Alexandria).
Lines closer than 0.1° are merged.

Largest 8 diffraction maxima, in order of rising 2θ, 2θ from 10° to 90°:
- 20.78 deg, I = 31
- 22.17 deg, I = 21
- 24.52 deg, I = 100
- 30.57 deg, I = 22
- 38.76 deg, I = 34
- 38.91 deg, I = 26
- 44.51 deg, I = 27
- 46.53 deg, I = 19

Cell lengths 4.6294, 4.6294, 8.5509 Å; angles 90.00, 90.00, 120.00 degrees
Sites, in units of the cell vectors:
Li 0.0000 0.0000 0.0000
Li 0.0000 0.0000 0.3245
Li 0.0000 0.0000 0.6755
Li 0.3333 0.6667 0.1077
Li 0.3333 0.6667 0.4374
Li 0.6667 0.3333 0.5626
Li 0.6667 0.3333 0.8923
Hg 0.3333 0.6667 0.7709
Hg 0.6667 0.3333 0.2291